# 1
The following is a calculated powder XRD pattern of Sm3AsSe6. It was derived from DFT lattice parameters and positions (GGA-PBE), using copper Kα.

Main lines, in order of rising 2θ (10° ≤ 2θ ≤ 90°):
2theta	d/Å	Rel. int.	hkl
16.08	5.512	26	1 1 1
23.82	3.736	100	2 2 1
24.07	3.697	51	1 3 1
33.06	2.709	77	3 3 1
35.45	2.532	74	3 1 2
35.98	2.496	66	0 4 2
39.99	2.255	61	3 5 0
45.91	1.977	31	3 1 3
48.49	1.877	26	6 0 0
61.84	1.500	24	6 4 2

Cell: 11.263 14.098 7.071 Å, 90.00 90.00 90.00°
Space group Cmc2_1 (No. 36)
One atom of each set of equivalent atoms:
Sm1 0.000 0.098 0.000 (multiplicity 4)
Sm2 0.182 0.401 0.899 (multiplicity 8)
As1 0.000 0.321 0.375 (multiplicity 4)
Se1 0.000 0.268 0.740 (multiplicity 4)
Se2 0.000 0.486 0.149 (multiplicity 4)
Se3 0.162 0.241 0.200 (multiplicity 8)
Se4 0.164 0.030 0.700 (multiplicity 8)


# 2
The following is a calculated powder XRD pattern of Ca5Bi6Cl12O8. It was derived from DFT lattice parameters and positions (GGA-PBE), using copper Kα.

Main lines, in order of rising 2θ (10° ≤ 2θ ≤ 90°):
2theta	d/Å	Rel. int.	hkl
25.58	3.482	53	1 2 3
30.30	2.950	100	1 2 5
31.97	2.800	27	0 4 0
32.16	2.783	28	2 0 0
36.34	2.472	33	1 2 7
40.60	2.222	19	0 0 10
45.99	1.973	30	2 4 0
52.60	1.740	17	0 4 10
55.94	1.644	18	1 6 5
56.18	1.637	17	3 2 5

Cell: 5.567 11.199 22.199 Å, 90.00 90.00 90.00°
Space group Immm (No. 71)
One atom of each set of equivalent atoms:
Ca1 0.000 0.000 0.000 (multiplicity 2)
Ca2 0.000 0.231 0.500 (multiplicity 4)
Ca3 0.000 0.500 0.309 (multiplicity 4)
Bi1 0.000 0.000 0.302 (multiplicity 4)
Bi2 0.000 0.257 0.196 (multiplicity 8)
Cl1 0.000 0.000 0.124 (multiplicity 4)
Cl2 0.000 0.000 0.500 (multiplicity 2)
Cl3 0.000 0.240 0.000 (multiplicity 4)
Cl4 0.000 0.267 0.378 (multiplicity 8)
Cl5 0.000 0.500 0.131 (multiplicity 4)
Cl6 0.000 0.500 0.500 (multiplicity 2)
O1 0.244 0.128 0.249 (multiplicity 16)


# 3
The following is a calculated powder XRD pattern of Ce3ThPb4. It was derived from DFT lattice parameters and positions (GGA-PBE), using copper Kα.

Main lines, in order of rising 2θ (10° ≤ 2θ ≤ 90°):
2theta	d/Å	Rel. int.	hkl
32.07	2.791	99	0 1 8
32.27	2.774	100	1 1 0
46.13	1.968	37	2 0 8
57.03	1.615	18	1 0 16
57.42	1.605	39	1 2 8
57.54	1.602	20	3 0 0
67.06	1.396	11	0 2 16
67.53	1.387	12	2 2 0
76.39	1.247	16	2 1 16
76.72	1.242	17	3 1 8

Cell: 5.5483 5.5483 27.4320 Å, 90.00 90.00 120.00°
Space group R-3m (No. 166, hexagonal axes)
One atom of each set of equivalent atoms:
Ce1 0.0000 0.0000 0.0000 (multiplicity 3)
Ce2 0.0000 0.0000 0.2434 (multiplicity 6)
Th1 0.0000 0.0000 0.5000 (multiplicity 3)
Pb1 0.0000 0.0000 0.1226 (multiplicity 6)
Pb2 0.0000 0.0000 0.3734 (multiplicity 6)


# 4
The following is a calculated powder XRD pattern of ReBrCl3. It was derived from DFT lattice parameters and positions (GGA-PBE), using copper Kα.

Main lines, in order of rising 2θ (10° ≤ 2θ ≤ 90°):
2theta	d/Å	Rel. int.	hkl
13.66	6.484	100	0 1 1
17.68	5.017	19	0 0 2
20.91	4.248	20	0 2 0
32.48	2.757	21	2 0 2
32.86	2.725	17	0 3 1
38.96	2.312	9	2 2 2
39.82	2.264	21	2 1 3
46.47	1.954	9	0 1 5
50.49	1.808	15	2 3 3
54.55	1.682	9	2 4 2

Cell: 6.599 8.496 10.035 Å, 90.00 90.00 90.00°
Space group Immm (No. 71)
One atom of each set of equivalent atoms:
Re1 0.200 0.000 0.000 (multiplicity 4)
Br1 0.000 0.500 0.328 (multiplicity 4)
Cl1 0.000 0.000 0.195 (multiplicity 4)
Cl2 0.231 0.270 0.000 (multiplicity 8)


# 5
The following is a calculated powder XRD pattern of AgNCl. It was derived from DFT lattice parameters and positions (GGA-PBE), using copper Kα.

Main lines, in order of rising 2θ (10° ≤ 2θ ≤ 90°):
2theta	d/Å	Rel. int.	hkl
17.10	5.185	28	2 0 0
27.94	3.193	32	2 1 0
31.18	2.868	41	3 0 -2
32.11	2.787	45	2 1 1
32.56	2.750	66	1 1 -2
32.93	2.720	100	0 1 2
34.10	2.630	54	3 1 0
34.57	2.595	27	4 0 0
35.51	2.528	29	1 1 2
37.58	2.393	27	4 0 -2

Cell: 10.656 4.053 7.547 Å, 90.00 103.32 90.00°
Space group P2_1/c (No. 14)
One atom of each set of equivalent atoms:
Ag1 0.089 0.167 0.390 (multiplicity 4)
N1 0.460 0.082 0.511 (multiplicity 4)
Cl1 0.161 0.618 0.634 (multiplicity 4)


# 6
The following is a calculated powder XRD pattern of RbPO3. It was derived from DFT lattice parameters and positions (GGA-PBE), using copper Kα.

Main lines, in order of rising 2θ (10° ≤ 2θ ≤ 90°):
2theta	d/Å	Rel. int.	hkl
24.86	3.582	63	0 1 3
25.12	3.545	100	1 1 1
27.10	3.290	23	0 0 4
28.79	3.101	25	0 2 0
33.55	2.671	17	1 0 4
37.62	2.391	36	1 2 2
39.41	2.286	21	2 0 0
42.21	2.141	21	1 1 5
44.78	2.024	19	1 2 4
47.15	1.927	16	2 1 3

Cell: 4.574 6.202 13.161 Å, 90.00 90.00 90.00°
Space group Pnma (No. 62)
One atom of each set of equivalent atoms:
Rb1 0.228 0.250 0.092 (multiplicity 4)
P1 0.181 0.750 0.324 (multiplicity 4)
O1 0.159 0.250 0.713 (multiplicity 4)
O2 0.235 0.541 0.379 (multiplicity 8)


# 7
The following is a calculated powder XRD pattern of Ce2ThS5. It was derived from DFT lattice parameters and positions (GGA-PBE), using copper Kα.

Main lines, in order of rising 2θ (10° ≤ 2θ ≤ 90°):
2theta	d/Å	Rel. int.	hkl
23.56	3.777	45	0 0 2
25.09	3.549	100	3 0 1
25.73	3.462	85	1 2 1
26.22	3.399	70	2 2 0
35.53	2.527	70	2 2 2
36.95	2.433	34	4 2 0
44.01	2.058	28	0 4 0
45.17	2.007	61	6 0 0
51.32	1.780	31	3 4 1
51.52	1.774	27	6 0 2

Cell: 12.063 8.231 7.553 Å, 90.00 90.00 90.00°
Space group Pnma (No. 62)
One atom of each set of equivalent atoms:
Ce1 0.178 0.001 0.019 (multiplicity 8)
Th1 0.009 0.250 0.577 (multiplicity 4)
S1 0.002 0.250 0.960 (multiplicity 4)
S2 0.101 0.544 0.663 (multiplicity 8)
S3 0.188 0.250 0.329 (multiplicity 4)
S4 0.217 0.750 0.299 (multiplicity 4)


# 8
The following is a calculated powder XRD pattern of KTl2Sn. It was derived from DFT lattice parameters and positions (GGA-PBE), using copper Kα.

Main lines, in order of rising 2θ (10° ≤ 2θ ≤ 90°):
2theta	d/Å	Rel. int.	hkl
12.67	6.987	41	0 0 1
23.05	3.859	49	1 0 1
25.50	3.493	15	0 0 2
30.69	2.914	100	1 2 1
32.61	2.746	33	0 2 2
35.99	2.495	19	1 3 0
38.10	2.362	19	1 2 2
38.91	2.315	23	2 0 0
43.50	2.080	17	1 0 3
51.65	1.770	18	2 2 2

Cell: 4.629 8.887 6.987 Å, 90.00 90.00 90.00°
Space group Pmmn (No. 59, origin choice 2)
One atom of each set of equivalent atoms:
K1 0.250 0.250 0.137 (multiplicity 2)
Tl1 0.250 0.035 0.704 (multiplicity 4)
Sn1 0.250 0.750 0.430 (multiplicity 2)